[1]
The following is a calculated X-ray diffraction stick pattern of TbSm5Dy8. It was derived from the PBE geometry in Alexandria, using CuKα.
No peak broadening, texture or thermal motion is included.

Main lines, by angle (10 to 90 degrees two-theta):
- 2θ = 30.0°, I = 38
- 2θ = 31.2°, I = 50
- 2θ = 31.4°, I = 100
- 2θ = 32.6°, I = 45
- 2θ = 33.0°, I = 45
- 2θ = 47.9°, I = 20
- 2θ = 61.7°, I = 29
- 2θ = 62.4°, I = 14

Cell and atoms:
abc: 8.831 8.831 16.815
angles: 117.55 117.55 23.14
Atoms (fractional coordinates):
Tb (0.000, 0.000, 0.000)
Sm (0.146, 0.146, 0.441)
Sm (0.214, 0.214, 0.144)
Sm (0.500, 0.500, 0.500)
Sm (0.786, 0.786, 0.856)
Sm (0.854, 0.854, 0.559)
Dy (0.082, 0.082, 0.723)
Dy (0.284, 0.284, 0.354)
Dy (0.353, 0.353, 0.059)
Dy (0.421, 0.421, 0.778)
Dy (0.579, 0.579, 0.222)
Dy (0.647, 0.647, 0.941)
Dy (0.716, 0.716, 0.646)
Dy (0.918, 0.918, 0.277)

[2]
The following is a calculated X-ray diffraction stick pattern of RbYGe. It was derived from the PBE geometry in Alexandria, using CuKα.
No peak broadening, texture or thermal motion is included.

Main lines, by angle (10 to 90 degrees two-theta):
- 2θ = 12.7°, I = 40
- 2θ = 25.2°, I = 28
- 2θ = 25.6°, I = 64
- 2θ = 25.9°, I = 36
- 2θ = 31.1°, I = 67
- 2θ = 32.0°, I = 100
- 2θ = 37.0°, I = 30
- 2θ = 45.3°, I = 31

Cell and atoms:
abc: 4.128 7.253 7.904
angles: 90.11 90.01 106.47
Atoms (fractional coordinates):
Rb (0.233, 0.466, 0.250)
Rb (0.767, 0.534, 0.750)
Y (0.500, 0.000, 0.000)
Y (0.500, 0.000, 0.500)
Ge (0.042, 0.084, 0.750)
Ge (0.958, 0.916, 0.250)

[3]
The following is a calculated X-ray diffraction stick pattern of NdCu5Au. It was derived from the PBE geometry in Alexandria, using CuKα.
No peak broadening, texture or thermal motion is included.

Main lines, by angle (10 to 90 degrees two-theta):
- 2θ = 35.1°, I = 56
- 2θ = 36.3°, I = 46
- 2θ = 38.1°, I = 100
- 2θ = 38.2°, I = 69
- 2θ = 41.1°, I = 44
- 2θ = 42.5°, I = 55
- 2θ = 44.9°, I = 73
- 2θ = 45.4°, I = 59

Cell and atoms:
abc: 8.256 5.116 10.376
angles: 90.00 90.00 90.00
Atoms (fractional coordinates):
Nd (0.240, 0.250, 0.063)
Nd (0.260, 0.750, 0.563)
Nd (0.740, 0.250, 0.437)
Nd (0.760, 0.750, 0.937)
Cu (0.058, 0.750, 0.107)
Cu (0.066, 0.001, 0.313)
Cu (0.066, 0.499, 0.313)
Cu (0.090, 0.250, 0.517)
Cu (0.185, 0.250, 0.748)
Cu (0.315, 0.750, 0.248)
Cu (0.410, 0.750, 0.017)
Cu (0.434, 0.501, 0.813)
Cu (0.434, 0.999, 0.813)
Cu (0.442, 0.250, 0.607)
Cu (0.558, 0.750, 0.393)
Cu (0.566, 0.001, 0.187)
Cu (0.566, 0.499, 0.187)
Cu (0.590, 0.250, 0.983)
Cu (0.685, 0.250, 0.752)
Cu (0.815, 0.750, 0.252)
Cu (0.910, 0.750, 0.483)
Cu (0.934, 0.501, 0.687)
Cu (0.934, 0.999, 0.687)
Cu (0.942, 0.250, 0.893)
Au (0.140, 0.750, 0.861)
Au (0.360, 0.250, 0.361)
Au (0.640, 0.750, 0.639)
Au (0.860, 0.250, 0.139)

[4]
The following is a calculated X-ray diffraction stick pattern of Mo3C. It was derived from the PBE geometry in Alexandria, using CuKα.
No peak broadening, texture or thermal motion is included.

Main lines, by angle (10 to 90 degrees two-theta):
- 2θ = 38.8°, I = 56
- 2θ = 39.6°, I = 50
- 2θ = 40.3°, I = 50
- 2θ = 40.5°, I = 100
- 2θ = 41.5°, I = 43
- 2θ = 43.7°, I = 28
- 2θ = 44.4°, I = 41
- 2θ = 74.0°, I = 27

Cell and atoms:
abc: 5.591 7.475 4.987
angles: 90.00 90.00 90.00
Atoms (fractional coordinates):
Mo (0.035, 0.250, 0.167)
Mo (0.180, 0.068, 0.667)
Mo (0.180, 0.432, 0.667)
Mo (0.320, 0.568, 0.167)
Mo (0.320, 0.932, 0.167)
Mo (0.465, 0.750, 0.667)
Mo (0.535, 0.250, 0.333)
Mo (0.680, 0.068, 0.833)
Mo (0.680, 0.432, 0.833)
Mo (0.820, 0.568, 0.333)
Mo (0.820, 0.932, 0.333)
Mo (0.965, 0.750, 0.833)
C (0.124, 0.750, 0.435)
C (0.376, 0.250, 0.935)
C (0.624, 0.750, 0.065)
C (0.876, 0.250, 0.565)

[5]
The following is a calculated X-ray diffraction stick pattern of Tm3ZrHg12. It was derived from the PBE geometry in Alexandria, using CuKα.
No peak broadening, texture or thermal motion is included.

Main lines, by angle (10 to 90 degrees two-theta):
- 2θ = 34.2°, I = 100
- 2θ = 38.2°, I = 18
- 2θ = 40.4°, I = 32
- 2θ = 56.8°, I = 23
- 2θ = 58.5°, I = 11
- 2θ = 66.5°, I = 14
- 2θ = 69.5°, I = 26
- 2θ = 72.0°, I = 12

Cell and atoms:
abc: 4.463 4.463 18.862
angles: 90.00 90.00 90.00
Atoms (fractional coordinates):
Tm (0.000, 0.000, 0.000)
Tm (0.000, 0.000, 0.255)
Tm (0.000, 0.000, 0.745)
Zr (0.000, 0.000, 0.500)
Hg (0.000, 0.500, 0.128)
Hg (0.000, 0.500, 0.380)
Hg (0.000, 0.500, 0.620)
Hg (0.000, 0.500, 0.872)
Hg (0.500, 0.000, 0.128)
Hg (0.500, 0.000, 0.380)
Hg (0.500, 0.000, 0.620)
Hg (0.500, 0.000, 0.872)
Hg (0.500, 0.500, 0.000)
Hg (0.500, 0.500, 0.256)
Hg (0.500, 0.500, 0.500)
Hg (0.500, 0.500, 0.744)

[6]
The following is a calculated X-ray diffraction stick pattern of ZrNi2Sn2. It was derived from the PBE geometry in Alexandria, using CuKα.
No peak broadening, texture or thermal motion is included.

Main lines, by angle (10 to 90 degrees two-theta):
- 2θ = 27.9°, I = 13
- 2θ = 28.7°, I = 25
- 2θ = 40.3°, I = 26
- 2θ = 40.4°, I = 100
- 2θ = 41.7°, I = 23
- 2θ = 59.4°, I = 16
- 2θ = 73.3°, I = 17
- 2θ = 75.3°, I = 16

Cell and atoms:
abc: 4.330 4.480 9.596
angles: 90.00 90.00 90.00
Atoms (fractional coordinates):
Zr (0.250, 0.250, 0.170)
Zr (0.750, 0.750, 0.830)
Ni (0.250, 0.750, 0.335)
Ni (0.250, 0.750, 0.984)
Ni (0.750, 0.250, 0.016)
Ni (0.750, 0.250, 0.665)
Sn (0.250, 0.250, 0.490)
Sn (0.250, 0.250, 0.831)
Sn (0.750, 0.750, 0.169)
Sn (0.750, 0.750, 0.510)

[7]
The following is a calculated X-ray diffraction stick pattern of Ac4In3Au5. It was derived from the PBE geometry in Alexandria, using CuKα.
No peak broadening, texture or thermal motion is included.

Main lines, by angle (10 to 90 degrees two-theta):
- 2θ = 28.2°, I = 36
- 2θ = 29.5°, I = 25
- 2θ = 30.2°, I = 32
- 2θ = 31.8°, I = 28
- 2θ = 33.6°, I = 48
- 2θ = 35.3°, I = 100
- 2θ = 36.0°, I = 28
- 2θ = 38.6°, I = 23

Cell and atoms:
abc: 7.783 7.783 11.657
angles: 122.47 122.47 38.08
Atoms (fractional coordinates):
Ac (0.032, 0.032, 0.320)
Ac (0.258, 0.258, 0.734)
Ac (0.742, 0.742, 0.266)
Ac (0.968, 0.968, 0.680)
In (0.000, 0.000, 0.000)
In (0.318, 0.318, 0.074)
In (0.682, 0.682, 0.926)
Au (0.297, 0.297, 0.489)
Au (0.415, 0.415, 0.360)
Au (0.500, 0.500, 0.000)
Au (0.585, 0.585, 0.640)
Au (0.703, 0.703, 0.511)

[8]
The following is a calculated X-ray diffraction stick pattern of La5PmNd2Mg. It was derived from the PBE geometry in Alexandria, using CuKα.
No peak broadening, texture or thermal motion is included.

Main lines, by angle (10 to 90 degrees two-theta):
- 2θ = 27.5°, I = 11
- 2θ = 29.1°, I = 32
- 2θ = 31.5°, I = 100
- 2θ = 32.2°, I = 13
- 2θ = 45.7°, I = 10
- 2θ = 49.1°, I = 8
- 2θ = 56.0°, I = 17
- 2θ = 59.4°, I = 9

Cell and atoms:
abc: 5.692 11.105 10.550
angles: 90.00 105.64 90.00
Atoms (fractional coordinates):
La (0.000, 0.000, 0.001)
La (0.000, 0.500, 0.999)
La (0.120, 0.251, 0.242)
La (0.212, 0.951, 0.425)
La (0.214, 0.552, 0.427)
La (0.491, 0.251, 0.978)
La (0.509, 0.751, 0.022)
La (0.786, 0.052, 0.573)
La (0.788, 0.451, 0.575)
La (0.880, 0.751, 0.758)
Pm (0.308, 0.251, 0.614)
Pm (0.692, 0.751, 0.386)
Nd (0.384, 0.540, 0.769)
Nd (0.384, 0.962, 0.768)
Nd (0.616, 0.040, 0.231)
Nd (0.616, 0.462, 0.232)
Mg (0.092, 0.749, 0.189)
Mg (0.908, 0.249, 0.811)

[9]
The following is a calculated X-ray diffraction stick pattern of TbPr3Er12. It was derived from the PBE geometry in Alexandria, using CuKα.
No peak broadening, texture or thermal motion is included.

Main lines, by angle (10 to 90 degrees two-theta):
- 2θ = 30.9°, I = 100
- 2θ = 35.8°, I = 51
- 2θ = 51.5°, I = 36
- 2θ = 61.3°, I = 43
- 2θ = 64.3°, I = 12
- 2θ = 75.8°, I = 6
- 2θ = 84.1°, I = 18
- 2θ = 86.8°, I = 17

Cell and atoms:
abc: 5.018 5.018 20.084
angles: 90.00 90.00 90.00
Atoms (fractional coordinates):
Tb (0.000, 0.000, 0.000)
Pr (0.000, 0.000, 0.249)
Pr (0.000, 0.000, 0.500)
Pr (0.000, 0.000, 0.751)
Er (0.000, 0.500, 0.123)
Er (0.000, 0.500, 0.374)
Er (0.000, 0.500, 0.626)
Er (0.000, 0.500, 0.877)
Er (0.500, 0.000, 0.123)
Er (0.500, 0.000, 0.374)
Er (0.500, 0.000, 0.626)
Er (0.500, 0.000, 0.877)
Er (0.500, 0.500, 0.000)
Er (0.500, 0.500, 0.249)
Er (0.500, 0.500, 0.500)
Er (0.500, 0.500, 0.751)

[10]
The following is a calculated X-ray diffraction stick pattern of CaPr4Ho2. It was derived from the PBE geometry in Alexandria, using CuKα.
No peak broadening, texture or thermal motion is included.

Main lines, by angle (10 to 90 degrees two-theta):
- 2θ = 29.5°, I = 32
- 2θ = 29.8°, I = 100
- 2θ = 34.5°, I = 66
- 2θ = 49.4°, I = 22
- 2θ = 49.8°, I = 24
- 2θ = 58.6°, I = 12
- 2θ = 58.9°, I = 27
- 2θ = 59.1°, I = 14

Cell and atoms:
abc: 21.284 21.284 21.284
angles: 9.88 9.88 9.88
Atoms (fractional coordinates):
Ca (0.000, 0.000, 0.000)
Pr (0.143, 0.143, 0.143)
Pr (0.282, 0.282, 0.282)
Pr (0.718, 0.718, 0.718)
Pr (0.857, 0.857, 0.857)
Ho (0.430, 0.430, 0.430)
Ho (0.570, 0.570, 0.570)

[11]
The following is a calculated X-ray diffraction stick pattern of Pa2NbNi9. It was derived from the PBE geometry in Alexandria, using CuKα.
No peak broadening, texture or thermal motion is included.

Main lines, by angle (10 to 90 degrees two-theta):
- 2θ = 10.8°, I = 50
- 2θ = 25.8°, I = 48
- 2θ = 33.4°, I = 81
- 2θ = 36.3°, I = 85
- 2θ = 37.2°, I = 91
- 2θ = 43.4°, I = 58
- 2θ = 43.5°, I = 100
- 2θ = 46.2°, I = 46

Cell and atoms:
abc: 8.629 8.629 8.629
angles: 32.55 32.55 32.55
Atoms (fractional coordinates):
Pa (0.134, 0.134, 0.134)
Pa (0.866, 0.866, 0.866)
Nb (0.000, 0.000, 0.000)
Ni (0.081, 0.582, 0.582)
Ni (0.333, 0.333, 0.333)
Ni (0.418, 0.418, 0.919)
Ni (0.418, 0.919, 0.418)
Ni (0.500, 0.500, 0.500)
Ni (0.582, 0.081, 0.582)
Ni (0.582, 0.582, 0.081)
Ni (0.667, 0.667, 0.667)
Ni (0.919, 0.418, 0.418)

[12]
The following is a calculated X-ray diffraction stick pattern of Na4Rh3O8. It was derived from the PBE geometry in Alexandria, using CuKα.
No peak broadening, texture or thermal motion is included.

Main lines, by angle (10 to 90 degrees two-theta):
- 2θ = 15.5°, I = 100
- 2θ = 32.7°, I = 19
- 2θ = 33.6°, I = 44
- 2θ = 34.8°, I = 19
- 2θ = 39.4°, I = 48
- 2θ = 50.3°, I = 27
- 2θ = 54.7°, I = 19
- 2θ = 59.2°, I = 20

Cell and atoms:
abc: 6.746 6.746 6.746
angles: 55.13 55.13 55.13
Atoms (fractional coordinates):
Na (0.000, 0.000, 0.000)
Na (0.146, 0.146, 0.146)
Na (0.500, 0.500, 0.500)
Na (0.854, 0.854, 0.854)
Rh (0.000, 0.500, 0.500)
Rh (0.500, 0.000, 0.500)
Rh (0.500, 0.500, 0.000)
O (0.245, 0.245, 0.698)
O (0.245, 0.698, 0.245)
O (0.275, 0.275, 0.275)
O (0.302, 0.755, 0.755)
O (0.698, 0.245, 0.245)
O (0.725, 0.725, 0.725)
O (0.755, 0.302, 0.755)
O (0.755, 0.755, 0.302)